Computed powder diffractogram
Compound: V3OF11
Radiation: copper Kα
Structure: a cell relaxed with GGA+U
Intensities are scaled so that the largest is 1000.

Cell and atoms:
a b c (Å): 5.277 5.467 15.013
angles (deg): 79.67 89.89 89.64
Atoms (fractional coordinates):
V 0.000 0.000 0.000
V 0.022 0.353 0.335
V 0.460 0.118 0.670
V 0.500 0.500 0.000
V 0.540 0.882 0.330
V 0.978 0.647 0.665
O 0.277 0.872 0.690
O 0.723 0.128 0.310
F 0.080 0.040 0.884
F 0.086 0.376 0.218
F 0.087 0.709 0.552
F 0.197 0.689 0.024
F 0.202 0.353 0.693
F 0.236 0.047 0.360
F 0.297 0.544 0.358
F 0.302 0.190 0.022
F 0.411 0.222 0.553
F 0.413 0.876 0.221
F 0.420 0.545 0.884
F 0.580 0.455 0.116
F 0.587 0.124 0.779
F 0.589 0.778 0.447
F 0.698 0.810 0.978
F 0.703 0.456 0.642
F 0.764 0.953 0.640
F 0.798 0.647 0.307
F 0.803 0.311 0.976
F 0.913 0.291 0.448
F 0.914 0.624 0.782
F 0.920 0.960 0.116

Peak list (10 most intense, 2θ = 10–90°, by angle)
| 2θ (°) | intensity |
| --- | --- |
| 18.02 | 1000 |
| 25.07 | 837 |
| 25.21 | 857 |
| 32.76 | 143 |
| 36.50 | 131 |
| 40.43 | 128 |
| 47.76 | 121 |
| 48.09 | 159 |
| 51.76 | 111 |
| 52.31 | 155 |